Structure and computed powder diffraction line list of CoTe2O (a DFT-relaxed cell (PBE+U, Alexandria); Cu Kα X-rays).
Kinematic intensities with the Lorentz-polarization factor, no thermal factor.

Atomic structure:
```
data_CoTe2O
_chemical_formula_sum 'Co3 Te6 O3'
_space_group_name_H-M_alt 'P 1'
_space_group_IT_number 1
_cell_length_a 4.0503
_cell_length_b 4.0503
_cell_length_c 19.2106
_cell_angle_alpha 90.00
_cell_angle_beta 90.00
_cell_angle_gamma 120.00
loop_
_space_group_symop_operation_xyz
'x,y,z'
loop_
_atom_site_label
_atom_site_type_symbol
_atom_site_fract_x
_atom_site_fract_y
_atom_site_fract_z
Co1 Co 0.0000 0.0000 0.0000
Co2 Co 0.3333 0.6667 0.6667
Co3 Co 0.6667 0.3333 0.3333
Te1 Te 0.0000 0.0000 0.3958
Te2 Te 0.0000 0.0000 0.6042
Te3 Te 0.3333 0.6667 0.0624
Te4 Te 0.3333 0.6667 0.2709
Te5 Te 0.6667 0.3333 0.7291
Te6 Te 0.6667 0.3333 0.9376
O1 O 0.0000 0.0000 0.5000
O2 O 0.3333 0.6667 0.1667
O3 O 0.6667 0.3333 0.8333
```

Most intense lines, 5° ≤ 2θ ≤ 70°, by angle:
| Position (°2θ) | I/Imax |
| --- | --- |
| 13.83 | 72 |
| 25.82 | 58 |
| 27.06 | 47 |
| 31.59 | 27 |
| 34.63 | 100 |
| 44.75 | 60 |
| 45.79 | 22 |
| 47.06 | 20 |
| 52.39 | 8 |
| 54.46 | 31 |
| 57.79 | 23 |
| 63.30 | 13 |